Theoretical XRD peak list of CaBe4Pt3O12 for Cu Kα, 1.54184 Å, from DFT lattice parameters and positions (PBE).
Kinematic intensities with the Lorentz-polarization factor, no thermal factor.

Top 6 peaks for 15° ≤ 2θ ≤ 90°, in order of rising 2θ:
2theta  d [Å]  I_rel
17.6  5.038  100
23.6  3.771  92
29.6  3.019  41
31.5  2.843  63
39.1  2.303  35
44.6  2.033  58

Atomic structure:
abc: 6.331 6.331 6.331
angles: 105.45 105.45 105.45
Element x y z (fractional)
Ca (0.000, 0.000, 0.000)
Be (0.071, 0.500, 0.929)
Be (0.500, 0.500, 0.500)
Be (0.500, 0.929, 0.071)
Be (0.929, 0.071, 0.500)
Pt (0.000, 0.564, 0.436)
Pt (0.436, 0.000, 0.564)
Pt (0.564, 0.436, 0.000)
O (0.041, 0.646, 0.773)
O (0.085, 0.915, 0.500)
O (0.227, 0.354, 0.959)
O (0.346, 0.654, 0.500)
O (0.354, 0.959, 0.227)
O (0.500, 0.085, 0.915)
O (0.500, 0.346, 0.654)
O (0.646, 0.773, 0.041)
O (0.654, 0.500, 0.346)
O (0.773, 0.041, 0.646)
O (0.915, 0.500, 0.085)
O (0.959, 0.227, 0.354)